[1]
Starting from a crystal structure in Alexandria, relaxed with GGA-PBE, the X-ray diffraction stick pattern of Na2BiPbF8 was computed for Cu Ka.
Neutral-atom scattering factors, no anomalous dispersion.

Most intense lines, 2θ = 10–90°, sorted by position:
d_spacing	intensity
5.609	60
3.961	50
3.236	100
2.802	22
2.506	29
2.289	25
1.981	67
1.690	47
1.286	19
1.144	21

Crystal structure
```
Na2BiPbF8
1.0
3.9612 0.0000 0.0000
0.0000 5.6089 0.0000
0.0000 0.0000 7.9222
Na Bi Pb F
2 1 1 8
direct
0.0000 0.0000 0.2487
0.0000 0.0000 0.7513
0.5000 0.5000 0.0000
0.5000 0.5000 0.5000
0.0000 0.2612 0.0000
0.0000 0.2694 0.5000
0.0000 0.7306 0.5000
0.0000 0.7388 0.0000
0.5000 0.2612 0.2491
0.5000 0.2612 0.7509
0.5000 0.7388 0.2491
0.5000 0.7388 0.7509
```

[2]
Starting from a crystal structure in Alexandria, relaxed with GGA-PBE, the X-ray diffraction stick pattern of Cu3TePbO8 was computed for Cu Ka.
Neutral-atom scattering factors, no anomalous dispersion.

Most intense lines, 2θ = 10–90°, sorted by position:
d_spacing	intensity
4.876	55
4.566	49
3.558	82
3.207	30
2.936	60
2.817	23
2.483	100
2.445	20
2.238	45
1.614	29

Crystal structure
```
Cu3TePbO8
1.0
0.0000 4.8906 12.7408
2.8839 0.0000 12.7408
2.8839 4.8906 0.0000
Cu Te Pb O
6 2 2 16
direct
0.0000 0.0000 0.0000
0.1898 0.1898 0.8102
0.2500 0.2500 0.2500
0.4398 0.4398 0.0602
0.7490 0.7490 0.2510
0.9990 0.9990 0.5010
0.4419 0.4419 0.5581
0.6919 0.6919 0.8081
0.5871 0.5871 0.4129
0.8371 0.8371 0.6629
0.0140 0.5789 0.2593
0.0344 0.8637 0.7587
0.1022 0.9907 0.6711
0.3667 0.4143 0.3747
0.4057 0.8753 0.8357
0.4143 0.3667 0.8443
0.4859 0.9990 0.7561
0.4910 0.4939 0.2510
0.4913 0.9067 0.2156
0.4939 0.4910 0.7641
0.5789 0.0140 0.1478
0.8637 0.0344 0.3433
0.8753 0.4057 0.8833
0.9067 0.4913 0.3863
0.9907 0.1022 0.2360
0.9990 0.4859 0.7590
```

[3]
Starting from a crystal structure in Alexandria, relaxed with GGA-PBE, the X-ray diffraction stick pattern of TiTl3Se4 was computed for Cu Ka.
Neutral-atom scattering factors, no anomalous dispersion.

Most intense lines, 2θ = 10–90°, sorted by position:
d_spacing	intensity
5.843	18
4.080	24
3.333	100
3.149	33
2.756	51
2.614	25
2.201	15
2.181	33
2.071	30
1.691	16

Crystal structure
```
TiTl3Se4
1.0
-3.7385 4.0800 4.1852
3.7385 -4.0800 4.1852
3.7385 4.0800 -4.1852
Ti Tl Se
1 3 4
direct
0.0000 0.0000 0.0000
0.2999 0.7999 0.5000
0.5000 0.5000 0.0000
0.7001 0.2001 0.5000
0.0171 0.6520 0.9831
0.3311 0.3480 0.3651
0.6689 0.0340 0.0169
0.9829 0.9660 0.6349
```

[4]
Starting from a crystal structure in Alexandria, relaxed with GGA-PBE, the X-ray diffraction stick pattern of KLiCO3 was computed for Cu Ka.
Neutral-atom scattering factors, no anomalous dispersion.

Most intense lines, 2θ = 10–90°, sorted by position:
d_spacing	intensity
4.633	52
2.900	99
2.675	46
2.458	37
2.317	29
2.151	100
1.966	19
1.810	36
1.484	24
1.214	16

Crystal structure
```
KLiCO3
1.0
5.3497 0.0000 0.0000
-2.6749 4.6330 0.0000
0.0000 0.0000 5.7994
K Li C O
2 2 2 6
direct
0.3333 0.6667 0.2500
0.6667 0.3333 0.7500
0.0000 0.0000 0.0000
0.0000 0.0000 0.5000
0.3333 0.6667 0.7500
0.6667 0.3333 0.2500
0.1922 0.3844 0.7500
0.1922 0.8078 0.7500
0.3844 0.1922 0.2500
0.6156 0.8078 0.7500
0.8078 0.1922 0.2500
0.8078 0.6156 0.2500
```